Diffraction record for KSrLaWO6. The X-ray powder pattern is calculated, not measured: it uses a DFT-relaxed cell (PBE+U, Alexandria) and Cu Kα.
No peak broadening, texture or thermal motion is included.

Peak list (12 most intense, 2θ = 10–90°, sorted by position)
| 2θ/deg | d/Å | Rel. int. |
| --- | --- | --- |
| 17.80 | 4.983 | 7.1 |
| 20.58 | 4.315 | 34.6 |
| 29.27 | 3.051 | 100.0 |
| 41.87 | 2.158 | 31.4 |
| 47.09 | 1.930 | 15.0 |
| 51.90 | 1.762 | 40.1 |
| 60.70 | 1.526 | 19.3 |
| 64.82 | 1.438 | 7.1 |
| 68.80 | 1.365 | 18.5 |
| 76.47 | 1.246 | 6.2 |
| 80.20 | 1.197 | 3.3 |
| 83.89 | 1.153 | 21.5 |

Crystal structure
a b c (Å): 6.1027 6.1027 6.1027
angles (deg): 60.00 60.00 60.00
Fractional positions:
K 0.0000 0.0000 0.0000
Sr 0.5000 0.5000 0.5000
La 0.7500 0.7500 0.7500
W 0.2500 0.2500 0.2500
O 0.0235 0.0235 0.4765
O 0.0235 0.4765 0.0235
O 0.0235 0.4765 0.4765
O 0.4765 0.0235 0.0235
O 0.4765 0.0235 0.4765
O 0.4765 0.4765 0.0235